The following is a simulated powder XRD pattern of Y8Ho3Sc. It was derived from a crystal structure in Alexandria, relaxed with PBE, using copper Kα.
Kinematic intensities with the Lorentz-polarization factor, no thermal factor.

Main lines, in order of falling intensity (2θ from 5° to 70°):
Position (°2θ)  d_spacing  Rel. int.
33.19  2.699  100
20.15  4.408  42
59.30  1.558  36
39.13  2.302  23
47.65  1.909  18
69.67  1.350  11

```
data_Y8Ho3Sc
_cell_length_a 9.352
_cell_length_b 9.352
_cell_length_c 9.352
_cell_angle_alpha 131.83
_cell_angle_beta 131.83
_cell_angle_gamma 70.50
_space_group_name_H-M_alt 'P 1'
_space_group_IT_number 1
_space_group_name_Hall 'P 1'
loop_
_atom_site_label
_atom_site_fract_x
_atom_site_fract_y
_atom_site_fract_z
Y1 0.123 0.123 0.493
Y2 0.123 0.631 0.000
Y3 0.369 0.369 0.493
Y4 0.369 0.877 0.000
Y5 0.631 0.123 0.000
Y6 0.631 0.631 0.507
Y7 0.877 0.369 0.000
Y8 0.877 0.877 0.507
Ho1 0.250 0.750 0.500
Ho2 0.500 0.500 0.000
Ho3 0.750 0.250 0.500
Sc1 0.000 0.000 0.000
```